Diffraction record for Sr2MgV2Si4O14. The powder XRD pattern is calculated, not measured: it uses a PBE+U-relaxed structure and Cu Kα, 1.54184 Å.
Kinematic intensities with the Lorentz-polarization factor, no thermal factor.

```
data_Sr2MgV2Si4O14
_cell_length_a 5.510
_cell_length_b 7.165
_cell_length_c 7.857
_cell_angle_alpha 90.00
_cell_angle_beta 109.61
_cell_angle_gamma 90.00
_symmetry_space_group_name_H-M 'P 1 m 1'
_symmetry_Int_Tables_number 6
_symmetry_space_group_name_Hall 'P -2y'
loop_
_atom_site_label
_atom_site_type_symbol
_atom_site_fract_x
_atom_site_fract_y
_atom_site_fract_z
Sr1 Sr 0.000 0.000 0.000
Sr2 Sr 0.391 0.500 0.809
Mg1 Mg 0.393 0.000 0.755
V1 V 0.029 0.000 0.430
V2 V 0.084 0.500 0.196
Si1 Si 0.575 0.219 0.188
Si2 Si 0.806 0.271 0.627
O1 O 0.097 0.188 0.713
O2 O 0.206 0.500 0.418
O3 O 0.248 0.000 0.310
O4 O 0.296 0.317 0.103
O5 O 0.546 0.000 0.090
O6 O 0.622 0.205 0.737
O7 O 0.708 0.204 0.412
O8 O 0.794 0.313 0.116
O9 O 0.828 0.500 0.641
```

Peak list (10 most intense, 5 to 70 degrees two-theta, low angle first)
2θ/deg, I_rel
21.1, 442
24.0, 444
27.1, 853
27.4, 915
30.3, 1000
30.4, 816
32.5, 494
34.2, 449
34.8, 656
51.0, 565